(1)
# Sm2YCo2
Simulated powder X-ray diffraction pattern, Cu Kα, 1.54184 Å. Input: a crystal structure in Alexandria, relaxed with GGA-PBE.
No peak broadening, texture or thermal motion is included.

Atomic structure:
Unit cell a=11.300 b=3.784 c=5.628 alpha=90.00 beta=104.27 gamma=90.00
Element x y z (fractional)
Sm  0.146  0.000  0.083
Sm  0.354  0.500  0.917
Sm  0.646  0.500  0.083
Sm  0.854  0.000  0.917
Y  0.000  0.500  0.500
Y  0.500  0.000  0.500
Co  0.222  0.000  0.600
Co  0.278  0.500  0.400
Co  0.722  0.500  0.600
Co  0.778  0.000  0.400

Main lines, most intense first (2θ from 10° to 80°):
d = 2.627 Å, intensity 100
d = 3.108 Å, intensity 65
d = 2.732 Å, intensity 54
d = 2.725 Å, intensity 51
d = 2.088 Å, intensity 45
d = 2.258 Å, intensity 38
d = 2.234 Å, intensity 35
d = 1.484 Å, intensity 29


(2)
# Sm2Y2Co
Simulated powder X-ray diffraction pattern, Cu Kα, 1.54184 Å. Input: a crystal structure in Alexandria, relaxed with GGA-PBE.
No peak broadening, texture or thermal motion is included.

Atomic structure:
Unit cell a=6.982 b=6.982 c=7.113 alpha=102.50 beta=102.50 gamma=114.76
Element x y z (fractional)
Sm  0.190  0.732  0.745
Sm  0.268  0.810  0.255
Sm  0.732  0.190  0.745
Sm  0.810  0.268  0.255
Y  0.245  0.245  0.603
Y  0.270  0.270  0.114
Y  0.730  0.730  0.886
Y  0.755  0.755  0.397
Co  0.383  0.617  0.500
Co  0.617  0.383  0.500

Main lines, most intense first (2θ from 10° to 80°):
d = 2.974 Å, intensity 100
d = 2.850 Å, intensity 54
d = 2.630 Å, intensity 42
d = 2.940 Å, intensity 38
d = 2.120 Å, intensity 26
d = 2.514 Å, intensity 23
d = 3.059 Å, intensity 20
d = 2.714 Å, intensity 20


(3)
# Sm2YCo9
Simulated powder X-ray diffraction pattern, Cu Kα, 1.54184 Å. Input: a crystal structure in Alexandria, relaxed with GGA-PBE.
No peak broadening, texture or thermal motion is included.

Atomic structure:
Unit cell a=8.720 b=8.720 c=8.720 alpha=33.29 beta=33.29 gamma=33.29
Element x y z (fractional)
Sm  0.140  0.140  0.140
Sm  0.860  0.860  0.860
Y  0.000  0.000  0.000
Co  0.080  0.579  0.579
Co  0.334  0.334  0.334
Co  0.421  0.421  0.920
Co  0.421  0.920  0.421
Co  0.500  0.500  0.500
Co  0.579  0.080  0.579
Co  0.579  0.579  0.080
Co  0.666  0.666  0.666
Co  0.920  0.421  0.421

Main lines, most intense first (2θ from 10° to 80°):
d = 2.135 Å, intensity 100
d = 2.498 Å, intensity 48
d = 2.734 Å, intensity 43
d = 2.513 Å, intensity 37
d = 2.155 Å, intensity 36
d = 1.249 Å, intensity 21
d = 1.982 Å, intensity 21
d = 1.992 Å, intensity 20


What did the first record say?
# Sm2YCo2
Simulated powder X-ray diffraction pattern, Cu Kα, 1.54184 Å. Input: a crystal structure in Alexandria, relaxed with GGA-PBE.
No peak broadening, texture or thermal motion is included.

Atomic structure:
Unit cell a=11.300 b=3.784 c=5.628 alpha=90.00 beta=104.27 gamma=90.00
Element x y z (fractional)
Sm  0.146  0.000  0.083
Sm  0.354  0.500  0.917
Sm  0.646  0.500  0.083
Sm  0.854  0.000  0.917
Y  0.000  0.500  0.500
Y  0.500  0.000  0.500
Co  0.222  0.000  0.600
Co  0.278  0.500  0.400
Co  0.722  0.500  0.600
Co  0.778  0.000  0.400

Main lines, most intense first (2θ from 10° to 80°):
d = 2.627 Å, intensity 100
d = 3.108 Å, intensity 65
d = 2.732 Å, intensity 54
d = 2.725 Å, intensity 51
d = 2.088 Å, intensity 45
d = 2.258 Å, intensity 38
d = 2.234 Å, intensity 35
d = 1.484 Å, intensity 29


Repeat the second record exactly.
# Sm2Y2Co
Simulated powder X-ray diffraction pattern, Cu Kα, 1.54184 Å. Input: a crystal structure in Alexandria, relaxed with GGA-PBE.
No peak broadening, texture or thermal motion is included.

Atomic structure:
Unit cell a=6.982 b=6.982 c=7.113 alpha=102.50 beta=102.50 gamma=114.76
Element x y z (fractional)
Sm  0.190  0.732  0.745
Sm  0.268  0.810  0.255
Sm  0.732  0.190  0.745
Sm  0.810  0.268  0.255
Y  0.245  0.245  0.603
Y  0.270  0.270  0.114
Y  0.730  0.730  0.886
Y  0.755  0.755  0.397
Co  0.383  0.617  0.500
Co  0.617  0.383  0.500

Main lines, most intense first (2θ from 10° to 80°):
d = 2.974 Å, intensity 100
d = 2.850 Å, intensity 54
d = 2.630 Å, intensity 42
d = 2.940 Å, intensity 38
d = 2.120 Å, intensity 26
d = 2.514 Å, intensity 23
d = 3.059 Å, intensity 20
d = 2.714 Å, intensity 20


Copy entry 2 word for word.
# Sm2Y2Co
Simulated powder X-ray diffraction pattern, Cu Kα, 1.54184 Å. Input: a crystal structure in Alexandria, relaxed with GGA-PBE.
No peak broadening, texture or thermal motion is included.

Atomic structure:
Unit cell a=6.982 b=6.982 c=7.113 alpha=102.50 beta=102.50 gamma=114.76
Element x y z (fractional)
Sm  0.190  0.732  0.745
Sm  0.268  0.810  0.255
Sm  0.732  0.190  0.745
Sm  0.810  0.268  0.255
Y  0.245  0.245  0.603
Y  0.270  0.270  0.114
Y  0.730  0.730  0.886
Y  0.755  0.755  0.397
Co  0.383  0.617  0.500
Co  0.617  0.383  0.500

Main lines, most intense first (2θ from 10° to 80°):
d = 2.974 Å, intensity 100
d = 2.850 Å, intensity 54
d = 2.630 Å, intensity 42
d = 2.940 Å, intensity 38
d = 2.120 Å, intensity 26
d = 2.514 Å, intensity 23
d = 3.059 Å, intensity 20
d = 2.714 Å, intensity 20